1.
# BaCd2Bi2
Calculated XRD peak list, a wavelength of 1.5418 Å. Input: a structure optimized by DFT (PBE).

Structural model:
Cell: 11.584 8.656 8.215 Å, 90.00 124.64 90.00°
Space group C2/c (No. 15)
One atom of each set of equivalent atoms:
Ba  0.000  0.014  0.250
Cd  0.114  0.388  0.968
Bi  0.183  0.297  0.654

Top 10 peaks for 2θ from 10° to 80°, low angle first:
2θ (°)  intensity
22.47  53
24.42  47
24.64  59
27.85  67
29.96  50
30.23  87
31.31  100
32.42  42
36.89  73
38.99  73

2.
# Ba2CdBiF
Calculated XRD peak list, a wavelength of 1.5418 Å. Input: a structure optimized by DFT (PBE).

Structural model:
Cell: 5.651 5.651 5.158 Å, 90.00 90.00 90.00°
Space group P4/mmm (No. 123)
One atom of each set of equivalent atoms:
Ba  0.000  0.500  0.000
Cd  0.000  0.000  0.500
Bi  0.500  0.500  0.500
F  0.000  0.000  0.000

Top 10 peaks for 2θ from 10° to 80°, low angle first:
2θ (°)  intensity
28.25  100
31.67  43
34.79  17
45.39  16
47.75  27
54.33  33
58.43  28
73.42  9
75.19  7
76.95  19

3.
# BaCdBiH
Calculated XRD peak list, a wavelength of 1.5418 Å. Input: a structure optimized by DFT (PBE).

Structural model:
Cell: 4.8919 4.8919 5.3674 Å, 90.00 90.00 120.00°
Space group P3m1 (No. 156)
One atom of each set of equivalent atoms:
Ba  0.0000  0.0000  0.0000
Cd  0.3333  0.6667  0.4181
Bi  0.6667  0.3333  0.5661
H  0.3333  0.6667  0.0594

Top 10 peaks for 2θ from 10° to 80°, low angle first:
2θ (°)  intensity
16.52  13
26.81  100
33.39  11
36.74  47
39.76  20
46.07  23
50.48  21
55.78  14
60.32  21
68.68  10

4.
# BaCd2Hg2Bi2
Calculated XRD peak list, a wavelength of 1.5418 Å. Input: a structure optimized by DFT (PBE).

Structural model:
Cell: 5.4396 5.4396 26.4104 Å, 90.00 90.00 120.00°
Space group R-3m (No. 166, hexagonal axes)
One atom of each set of equivalent atoms:
Ba  0.0000  0.0000  0.0000
Cd  0.0000  0.0000  0.4015
Hg  0.0000  0.0000  0.1352
Bi  0.0000  0.0000  0.2537

Top 10 peaks for 2θ from 10° to 80°, low angle first:
2θ (°)  intensity
20.01  15
30.35  39
32.93  100
33.14  63
45.39  13
47.41  24
57.21  13
58.81  19
58.93  25
62.87  20

5.
# BaCd2Hg4Bi
Calculated XRD peak list, a wavelength of 1.5418 Å. Input: a structure optimized by DFT (PBE).

Structural model:
Cell: 5.555 5.555 7.972 Å, 90.00 90.00 90.00°
Space group P4/mmm (No. 123)
One atom of each set of equivalent atoms:
Ba  0.000  0.000  0.000
Cd  0.500  0.500  0.181
Hg  0.000  0.500  0.295
Bi  0.000  0.000  0.500

Top 10 peaks for 2θ from 10° to 80°, low angle first:
2θ (°)  intensity
22.30  16
27.54  38
31.99  82
32.23  100
41.01  45
42.90  23
46.22  37
57.32  32
63.48  25
76.73  17

6.
# BaCdInBi2
Calculated XRD peak list, a wavelength of 1.5418 Å. Input: a structure optimized by DFT (PBE).

Structural model:
Cell: 6.420 15.723 7.106 Å, 90.00 90.00 90.00°
Space group Cmme (No. 67)
One atom of each set of equivalent atoms:
Ba  0.000  0.250  0.236
Cd  0.250  0.000  0.500
In  0.000  0.000  0.000
Bi  0.000  0.142  0.719

Top 10 peaks for 2θ from 10° to 80°, low angle first:
2θ (°)  intensity
19.47  43
25.26  69
27.55  56
27.79  42
34.01  34
34.17  100
37.77  33
38.35  24
47.68  24
53.36  27

7.
# BaNa2Cd2Bi2
Calculated XRD peak list, a wavelength of 1.5418 Å. Input: a structure optimized by DFT (PBE).

Structural model:
Cell: 5.1348 5.1348 28.5548 Å, 90.00 90.00 120.00°
Space group R-3m (No. 166, hexagonal axes)
One atom of each set of equivalent atoms:
Ba  0.0000  0.0000  0.0000
Na  0.0000  0.0000  0.1429
Cd  0.0000  0.0000  0.4480
Bi  0.0000  0.0000  0.2585

Top 10 peaks for 2θ from 10° to 80°, low angle first:
2θ (°)  intensity
18.64  19
23.57  100
29.72  44
32.16  18
34.95  83
37.43  25
39.90  17
40.23  23
42.59  22
56.23  19

8.
# Ba2CdBiO4
Calculated XRD peak list, a wavelength of 1.5418 Å. Input: a structure optimized by DFT (PBE).

Structural model:
Cell: 9.879 10.139 7.704 Å, 90.00 123.04 90.00°
Space group C2/c (No. 15)
One atom of each set of equivalent atoms:
Ba  0.000  0.000  0.000
Ba  0.250  0.250  0.000
Cd  0.250  0.250  0.500
Bi  0.000  0.500  0.000
O  0.048  0.262  0.556
O  0.223  0.016  0.406

Top 10 peaks for 2θ from 10° to 80°, low angle first:
2θ (°)  intensity
27.62  73
27.82  100
29.85  85
35.41  41
36.62  37
43.72  21
45.49  37
47.66  28
51.51  22
51.86  26

9.
# Ba7CdBi2O2
Calculated XRD peak list, a wavelength of 1.5418 Å. Input: a structure optimized by DFT (PBE).

Structural model:
Cell: 5.388 5.388 30.844 Å, 90.00 90.00 90.00°
Space group I4/mmm (No. 139)
One atom of each set of equivalent atoms:
Ba  0.000  0.000  0.000
Ba  0.000  0.000  0.203
Ba  0.000  0.500  0.097
Cd  0.000  0.000  0.500
Bi  0.000  0.000  0.319
O  0.000  0.000  0.092

Top 10 peaks for 2θ from 10° to 80°, low angle first:
2θ (°)  intensity
24.06  23
26.09  55
28.95  33
29.17  100
33.25  68
44.66  39
47.74  26
53.26  24
56.80  19
56.93  31

10.
# Ba2CdSiBi
Calculated XRD peak list, a wavelength of 1.5418 Å. Input: a structure optimized by DFT (PBE).

Structural model:
Cell: 6.545 6.545 5.429 Å, 90.00 90.00 90.00°
Space group P4/mmm (No. 123)
One atom of each set of equivalent atoms:
Ba  0.000  0.500  0.000
Cd  0.000  0.000  0.000
Si  0.500  0.500  0.500
Bi  0.000  0.000  0.500

Top 10 peaks for 2θ from 10° to 80°, low angle first:
2θ (°)  intensity
13.53  100
25.29  85
27.25  90
30.54  30
33.00  27
38.92  35
43.31  52
46.98  32
51.92  30
73.51  22

11.
# Ba4Bi2ICl
Calculated XRD peak list, a wavelength of 1.5418 Å. Input: a structure optimized by DFT (PBE).

Structural model:
Cell: 10.168 13.884 10.137 Å, 90.00 90.00 90.00°
Space group Fmm2 (No. 42)
One atom of each set of equivalent atoms:
Ba  0.000  0.239  0.000
Ba  0.241  0.000  0.235
Bi  0.250  0.250  0.253
I  0.000  0.000  0.496
Cl  0.000  0.000  0.016

Top 10 peaks for 2θ from 10° to 80°, low angle first:
2θ (°)  intensity
24.80  100
25.66  46
35.31  20
35.42  19
35.99  75
44.21  41
50.88  14
57.84  18
59.13  19
63.82  14

12.
# BaCr2Bi
Calculated XRD peak list, a wavelength of 1.5418 Å. Input: a structure optimized by DFT (PBE).

Structural model:
Cell: 5.496 5.496 19.297 Å, 90.00 90.00 90.00°
Space group I4_1/amd (No. 141, origin choice 2)
One atom of each set of equivalent atoms:
Ba  0.000  0.250  0.375
Cr  0.000  0.000  0.000
Bi  0.000  0.250  0.875

Top 10 peaks for 2θ from 10° to 80°, low angle first:
2θ (°)  intensity
16.77  25
18.39  22
24.70  100
32.58  25
36.26  37
37.28  15
37.67  34
50.64  25
53.58  25
60.55  17